Record 1
For Al3As2, a cell relaxed with GGA-PBE gives the simulated powder diffractogram in this record (Cu Kα (weighted mean of Kα1 and Kα2)).
Intensities are scaled so that the largest is 100.

Structural model:
```
Al3As2
1.0
1.892 1.092 7.797
-1.892 1.092 7.797
0.000 -2.185 7.797
Al As
3 2
Direct
0.000 0.000 0.000 Al
0.208 0.208 0.208 Al
0.792 0.792 0.792 Al
0.399 0.399 0.399 As
0.601 0.601 0.601 As
```

The 12 most intense peaks (2θ from 10° to 90°), by angle:
Position (°2θ)  d (Å)  Rel. int.
11.35  7.797  12
22.81  3.899  14
27.48  3.246  21
31.29  2.859  12
33.38  2.684  100
47.77  1.904  34
48.09  1.892  35
59.80  1.547  18
70.12  1.342  11
79.67  1.203  14
80.15  1.197  15
89.53  1.095  11

Record 2
For Al6As7, a cell relaxed with GGA-PBE gives the simulated powder diffractogram in this record (Cu Kα (weighted mean of Kα1 and Kα2)).
Intensities are scaled so that the largest is 100.

Structural model:
```
Al6As7
1.0
3.332 1.923 7.301
-3.332 1.923 7.301
0.000 -3.847 7.301
Al As
6 7
Direct
0.060 0.060 0.060 Al
0.176 0.176 0.176 Al
0.336 0.336 0.336 Al
0.664 0.664 0.664 Al
0.824 0.824 0.824 Al
0.940 0.940 0.940 Al
0.078 0.583 0.583 As
0.417 0.417 0.922 As
0.417 0.922 0.417 As
0.500 0.500 0.500 As
0.583 0.078 0.583 As
0.583 0.583 0.078 As
0.922 0.417 0.417 As
```

The 12 most intense peaks (2θ from 10° to 90°), by angle:
Position (°2θ)  d (Å)  Rel. int.
15.88  5.580  96
24.38  3.651  45
31.27  2.861  100
32.08  2.790  60
36.51  2.461  85
37.32  2.410  96
42.62  2.121  98
45.68  1.986  23
49.96  1.825  24
53.88  1.702  27
55.14  1.666  69
77.59  1.230  39